(1)
Computed PXRD pattern
Compound: SiP2RuN
Radiation: Cu Kα X-rays
Structure: the PBE geometry in Alexandria

The 10 most intense peaks (2θ from 10° to 90°), by angle:
| 2θ/deg | I/Imax | h k l |
| --- | --- | --- |
| 14.86 | 100 | 0 0 1 |
| 21.66 | 35 | 2 0 0 |
| 25.26 | 45 | 2 0 -1 |
| 27.43 | 72 | 2 0 1 |
| 29.98 | 57 | 0 0 2 |
| 35.68 | 80 | 1 1 -1 |
| 36.49 | 34 | 1 1 1 |
| 44.26 | 38 | 1 1 -2 |
| 45.53 | 41 | 3 1 0 |
| 49.15 | 40 | 3 1 1 |

Structure:
Cell: 8.237 2.906 5.984 Å, 90.00 94.96 90.00°
Space group Cm (No. 8)
Symmetry-distinct sites (fractional):
Si1 0.000 0.000 0.000
P1 0.265 0.500 0.763
P2 0.478 0.500 0.375
Ru1 0.266 0.000 0.464
N1 0.103 0.500 0.923



(2)
Computed PXRD pattern
Compound: Ac2Tb6Nd5
Radiation: Cu Kα X-rays
Structure: the PBE geometry in Alexandria

The 10 most intense peaks (2θ from 10° to 90°), by angle:
| 2θ/deg | I/Imax | h k l |
| --- | --- | --- |
| 26.73 | 27 | 1 6 0 |
| 29.96 | 61 | 4 1 0 |
| 30.64 | 42 | 1 4 1 |
| 30.92 | 36 | 3 5 0 |
| 31.00 | 59 | 1 7 0 |
| 31.23 | 100 | 2 3 1 |
| 33.29 | 39 | 2 4 1 |
| 34.15 | 24 | 3 6 0 |
| 35.49 | 28 | 3 3 1 |
| 59.52 | 23 | 1 7 2 |

Structure:
Cell: 12.056 20.800 3.687 Å, 90.00 90.00 90.00°
Space group Pbam (No. 55)
Symmetry-distinct sites (fractional):
Ac1 0.167 0.223 0.000
Tb1 0.061 0.926 0.000
Tb2 0.071 0.639 0.000
Tb3 0.184 0.380 0.500
Nd1 0.000 0.500 0.500
Nd2 0.093 0.785 0.500
Nd3 0.201 0.054 0.500



(3)
Computed PXRD pattern
Compound: Sm6YEr6
Radiation: Cu Kα X-rays
Structure: the PBE geometry in Alexandria

The 10 most intense peaks (2θ from 10° to 90°), by angle:
| 2θ/deg | I/Imax | h k l |
| --- | --- | --- |
| 26.60 | 25 | 1 1 0 |
| 30.81 | 46 | 2 0 0 |
| 30.99 | 63 | 1 1 2 |
| 31.54 | 27 | 0 0 4 |
| 34.72 | 100 | 2 0 2 |
| 35.22 | 30 | 1 0 4 |
| 52.75 | 19 | 2 1 4 |
| 54.78 | 31 | 2 2 0 |
| 55.82 | 25 | 1 1 6 |
| 64.60 | 21 | 2 2 4 |

Structure:
Cell: 6.7025 6.7025 11.3459 Å, 90.00 90.00 120.00°
Space group P6/mmm (No. 191)
Symmetry-distinct sites (fractional):
Sm1 0.0000 0.0000 0.1575
Sm2 0.3333 0.6667 0.0000
Sm3 0.3333 0.6667 0.5000
Y1 0.0000 0.0000 0.5000
Er1 0.0000 0.5000 0.2554



(4)
Computed PXRD pattern
Compound: NaAg9Pb2
Radiation: Cu Kα X-rays
Structure: the PBE geometry in Alexandria

The 10 most intense peaks (2θ from 10° to 90°), by angle:
| 2θ/deg | I/Imax | h k l |
| --- | --- | --- |
| 28.92 | 20 | 1 0 7 |
| 31.33 | 31 | 1 1 0 |
| 36.49 | 29 | 0 2 1 |
| 37.03 | 100 | 1 1 6 |
| 38.68 | 29 | 0 2 4 |
| 39.94 | 42 | 2 0 5 |
| 40.22 | 31 | 0 1 11 |
| 59.56 | 23 | 0 3 6 |
| 61.84 | 18 | 1 2 11 |
| 65.38 | 25 | 2 2 0 |

Structure:
Cell: 5.7095 5.7095 27.6746 Å, 90.00 90.00 120.00°
Space group R-3m (No. 166, hexagonal axes)
Symmetry-distinct sites (fractional):
Na1 0.0000 0.0000 0.0000
Ag1 0.0000 0.0000 0.3338
Ag2 0.0000 0.0000 0.5000
Ag3 0.0030 0.5015 0.9162
Pb1 0.0000 0.0000 0.1427



(5)
Computed PXRD pattern
Compound: NaTc2IrO8
Radiation: Cu Kα X-rays
Structure: the PBE geometry in Alexandria

The 10 most intense peaks (2θ from 10° to 90°), by angle:
| 2θ/deg | I/Imax | h k l |
| --- | --- | --- |
| 10.59 | 50 | 0 0 3 |
| 18.64 | 32 | 1 0 1 |
| 23.20 | 100 | 1 0 4 |
| 31.05 | 13 | 1 0 7 |
| 31.97 | 39 | 1 1 0 |
| 34.07 | 21 | 0 1 8 |
| 39.87 | 13 | 0 2 4 |
| 47.42 | 14 | 2 0 8 |
| 51.99 | 22 | 2 1 4 |
| 54.84 | 15 | 1 1 12 |

Structure:
Cell: 5.5987 5.5987 25.0613 Å, 90.00 90.00 120.00°
Space group R32 (No. 155, hexagonal axes)
Symmetry-distinct sites (fractional):
Na1 0.0000 0.0000 0.0000
Tc1 0.0000 0.0000 0.2413
Ir1 0.0000 0.0000 0.5000
O1 0.0000 0.0000 0.3111
O2 0.0142 0.4735 0.1161



(6)
Computed PXRD pattern
Compound: Ho5Sc2
Radiation: Cu Kα X-rays
Structure: the PBE geometry in Alexandria

The 10 most intense peaks (2θ from 10° to 90°), by angle:
| 2θ/deg | I/Imax | h k l |
| --- | --- | --- |
| 27.46 | 71 | 0 2 1 |
| 30.74 | 85 | 1 0 -1 |
| 30.82 | 41 | 1 1 2 |
| 30.99 | 43 | 0 0 3 |
| 32.51 | 100 | 1 2 0 |
| 32.66 | 59 | 0 2 -2 |
| 33.67 | 23 | 0 1 3 |
| 41.65 | 28 | 1 -2 1 |
| 49.11 | 32 | 1 2 -3 |
| 59.28 | 29 | 1 4 -2 |

Structure:
Cell: 3.466 7.244 8.826 Å, 87.84 78.81 76.21°
Space group P-1 (No. 2)
Symmetry-distinct sites (fractional):
Ho1 0.000 0.000 0.000
Ho2 0.174 0.350 0.303
Ho3 0.382 0.854 0.380
Sc1 0.357 0.367 0.918



(7)
Computed PXRD pattern
Compound: SbAu2I8
Radiation: Cu Kα X-rays
Structure: the PBE geometry in Alexandria

The 10 most intense peaks (2θ from 10° to 90°), by angle:
| 2θ/deg | I/Imax | h k l |
| --- | --- | --- |
| 16.74 | 54 | 1 0 1 |
| 21.11 | 35 | 1 1 0 |
| 23.07 | 21 | 0 0 2 |
| 24.42 | 30 | 2 0 0 |
| 27.06 | 72 | 2 0 1 |
| 33.85 | 34 | 2 0 2 |
| 34.57 | 23 | 2 1 1 |
| 43.03 | 100 | 2 2 0 |
| 62.48 | 17 | 4 0 3 |
| 78.81 | 25 | 6 0 0 |

Structure:
Cell: 8.4172 8.4172 7.7099 Å, 90.00 90.00 120.00°
Space group P-3m1 (No. 164)
Symmetry-distinct sites (fractional):
Sb1 0.0000 0.0000 0.0000
Au1 0.3333 0.6667 0.6040
I1 0.1590 0.3181 0.7570
I2 0.3333 0.6667 0.2670



(8)
Computed PXRD pattern
Compound: SmPuRuAu
Radiation: Cu Kα X-rays
Structure: the PBE geometry in Alexandria

The 10 most intense peaks (2θ from 10° to 90°), by angle:
| 2θ/deg | I/Imax | h k l |
| --- | --- | --- |
| 21.73 | 7 | 1 1 1 |
| 25.14 | 2 | 2 0 0 |
| 35.86 | 100 | 2 2 0 |
| 42.32 | 4 | 3 1 1 |
| 51.61 | 18 | 4 0 0 |
| 56.64 | 2 | 3 3 1 |
| 64.44 | 37 | 4 2 2 |
| 76.00 | 12 | 4 4 0 |
| 80.16 | 2 | 5 3 1 |
| 87.00 | 17 | 6 2 0 |

Structure:
Cell: 7.083 7.083 7.083 Å, 90.00 90.00 90.00°
Space group F-43m (No. 216)
Symmetry-distinct sites (fractional):
Sm1 0.000 0.000 0.000
Pu1 0.000 0.000 0.500
Ru1 0.250 0.250 0.250
Au1 0.250 0.250 0.750



(9)
Computed PXRD pattern
Compound: Rb2LiZr2S6
Radiation: Cu Kα X-rays
Structure: the PBE geometry in Alexandria

The 10 most intense peaks (2θ from 10° to 90°), by angle:
| 2θ/deg | I/Imax | h k l |
| --- | --- | --- |
| 11.17 | 24 | 0 0 1 |
| 15.71 | 30 | 0 2 0 |
| 17.47 | 51 | 1 1 -1 |
| 21.54 | 29 | 1 1 1 |
| 22.45 | 20 | 0 0 2 |
| 31.19 | 100 | 1 3 1 |
| 31.48 | 50 | 2 0 -2 |
| 41.29 | 34 | 1 3 -3 |
| 48.30 | 30 | 3 3 -1 |
| 58.90 | 17 | 2 6 -2 |

Structure:
Cell: 6.534 11.281 8.181 Å, 90.00 104.47 90.00°
Space group C2/m (No. 12)
Symmetry-distinct sites (fractional):
Rb1 0.000 0.163 0.000
Li1 0.000 0.000 0.500
Zr1 0.000 0.333 0.500
S1 0.204 0.500 0.687
S2 0.232 0.174 0.684



(10)
Computed PXRD pattern
Compound: KCuHg2
Radiation: Cu Kα X-rays
Structure: the PBE geometry in Alexandria

The 10 most intense peaks (2θ from 10° to 90°), by angle:
| 2θ/deg | I/Imax | h k l |
| --- | --- | --- |
| 10.49 | 51 | 0 0 1 |
| 18.78 | 77 | 1 0 1 |
| 22.27 | 35 | 0 1 1 |
| 31.37 | 31 | 2 0 0 |
| 31.82 | 28 | 0 0 3 |
| 32.99 | 100 | 1 1 2 |
| 38.81 | 54 | 2 1 1 |
| 39.79 | 31 | 0 2 0 |
| 43.19 | 32 | 2 1 -2 |
| 56.88 | 21 | 3 1 2 |

Structure:
Cell: 5.703 4.531 8.437 Å, 90.00 90.04 90.00°
Space group Pm (No. 6)
Symmetry-distinct sites (fractional):
K1 0.000 0.000 0.000
K2 0.499 0.000 0.336
Cu1 0.251 0.500 0.671
Cu2 0.753 0.500 0.671
Hg1 0.001 0.000 0.598
Hg2 0.499 0.500 0.996
Hg3 0.502 0.000 0.739
Hg4 0.999 0.500 0.341



(11)
Computed PXRD pattern
Compound: Ba2N2Cl5
Radiation: Cu Kα X-rays
Structure: the PBE geometry in Alexandria

The 10 most intense peaks (2θ from 10° to 90°), by angle:
| 2θ/deg | I/Imax | h k l |
| --- | --- | --- |
| 13.09 | 64 | 1 1 0 |
| 16.96 | 86 | 1 1 1 |
| 18.56 | 100 | 4 0 0 |
| 21.22 | 39 | 3 1 -1 |
| 23.02 | 47 | 2 0 -2 |
| 26.36 | 44 | 2 2 0 |
| 28.09 | 33 | 3 1 -2 |
| 28.72 | 80 | 3 1 2 |
| 32.79 | 54 | 0 2 2 |
| 37.62 | 80 | 8 0 0 |

Structure:
Cell: 19.131 7.229 8.344 Å, 90.00 91.64 90.00°
Space group Cc (No. 9)
Symmetry-distinct sites (fractional):
Ba1 0.000 0.054 0.000
Ba2 0.239 0.243 0.742
N1 0.207 0.485 0.997
N2 0.282 0.041 0.468
Cl1 0.120 0.057 0.268
Cl2 0.124 0.491 0.539
Cl3 0.345 0.125 0.364
Cl4 0.395 0.354 0.766
Cl5 0.487 0.197 0.199



(12)
Computed PXRD pattern
Compound: Pm10DyEr4
Radiation: Cu Kα X-rays
Structure: the PBE geometry in Alexandria

The 10 most intense peaks (2θ from 10° to 90°), by angle:
| 2θ/deg | I/Imax | h k l |
| --- | --- | --- |
| 21.61 | 18 | 2 1 1 |
| 26.30 | 23 | 1 0 3 |
| 28.16 | 13 | 3 0 1 |
| 28.39 | 76 | 3 1 0 |
| 30.33 | 14 | 2 2 2 |
| 31.97 | 100 | 2 1 3 |
| 32.96 | 36 | 3 1 2 |
| 40.58 | 28 | 2 4 0 |
| 41.22 | 22 | 2 3 3 |
| 59.09 | 20 | 1 3 6 |

Structure:
Cell: 9.942 9.942 10.812 Å, 90.00 90.00 90.00°
Space group I4/m (No. 87)
Symmetry-distinct sites (fractional):
Pm1 0.000 0.500 0.250
Pm2 0.120 0.226 0.167
Dy1 0.000 0.000 0.000
Er1 0.055 0.279 0.500



(13)
Computed PXRD pattern
Compound: NaSrPuF6
Radiation: Cu Kα X-rays
Structure: the PBE geometry in Alexandria

The 10 most intense peaks (2θ from 10° to 90°), by angle:
| 2θ/deg | I/Imax | h k l |
| --- | --- | --- |
| 19.02 | 100 | 1 0 1 |
| 24.36 | 81 | 1 0 2 |
| 29.46 | 43 | 1 1 0 |
| 31.40 | 29 | 1 0 3 |
| 34.43 | 26 | 1 1 2 |
| 35.30 | 27 | 0 0 4 |
| 38.58 | 24 | 2 0 2 |
| 46.61 | 69 | 1 1 4 |
| 49.28 | 24 | 2 1 2 |
| 52.25 | 22 | 3 0 0 |

Structure:
Cell: 6.0646 6.0646 10.1729 Å, 90.00 90.00 120.00°
Space group P-31c (No. 163)
Symmetry-distinct sites (fractional):
Na1 0.3333 0.6667 0.2500
Sr1 0.0000 0.0000 0.0000
Pu1 0.3333 0.6667 0.7500
F1 0.0069 0.3405 0.6348